(1)
Calculated X-ray diffraction stick pattern
Compound: Ac2In7
Radiation: CuKα
Structure: a cell relaxed with GGA-PBE
No peak broadening, texture or thermal motion is included.

Structure:
Unit cell a=15.892 b=15.892 c=15.892 alpha=22.88 beta=22.88 gamma=22.88
Element x y z (fractional)
Ac: 0.050 0.050 0.050
Ac: 0.148 0.148 0.148
Ac: 0.852 0.852 0.852
Ac: 0.950 0.950 0.950
In: 0.000 0.500 0.500
In: 0.106 0.615 0.615
In: 0.277 0.277 0.277
In: 0.385 0.385 0.894
In: 0.385 0.894 0.385
In: 0.390 0.390 0.390
In: 0.500 0.000 0.500
In: 0.500 0.500 0.000
In: 0.500 0.500 0.500
In: 0.610 0.610 0.610
In: 0.615 0.106 0.615
In: 0.615 0.615 0.106
In: 0.723 0.723 0.723
In: 0.894 0.385 0.385

Most intense lines, 2θ from 10° to 90°, low angle first:
- 2θ = 25.2°, intensity 26.8
- 2θ = 26.7°, intensity 24.3
- 2θ = 28.3°, intensity 37.8
- 2θ = 32.9°, intensity 31.4
- 2θ = 33.3°, intensity 100.0
- 2θ = 34.8°, intensity 18.8
- 2θ = 36.4°, intensity 17.4
- 2θ = 50.1°, intensity 15.8
- 2θ = 53.4°, intensity 26.8
- 2θ = 58.6°, intensity 24.8

---

(2)
Calculated X-ray diffraction stick pattern
Compound: Sm6Dy3Sc2
Radiation: CuKα
Structure: a cell relaxed with GGA-PBE
No peak broadening, texture or thermal motion is included.

Structure:
Unit cell a=6.156 b=6.156 c=11.264 alpha=95.25 beta=95.25 gamma=120.02
Element x y z (fractional)
Sm: 0.079 0.412 0.237
Sm: 0.253 0.253 0.763
Sm: 0.412 0.079 0.237
Sm: 0.588 0.921 0.763
Sm: 0.747 0.747 0.237
Sm: 0.921 0.588 0.763
Dy: 0.166 0.834 0.500
Dy: 0.500 0.500 0.500
Dy: 0.834 0.166 0.500
Sc: 0.333 0.667 0.000
Sc: 0.667 0.333 0.000

Most intense lines, 2θ from 10° to 90°, low angle first:
- 2θ = 31.0°, intensity 100.0
- 2θ = 32.0°, intensity 11.1
- 2θ = 32.3°, intensity 28.2
- 2θ = 36.3°, intensity 63.9
- 2θ = 51.4°, intensity 24.3
- 2θ = 53.2°, intensity 19.6
- 2θ = 61.3°, intensity 14.2
- 2θ = 62.1°, intensity 25.8
- 2θ = 64.6°, intensity 11.9
- 2θ = 84.0°, intensity 11.7

---

(3)
Calculated X-ray diffraction stick pattern
Compound: BaGaClF4
Radiation: CuKα
Structure: a cell relaxed with GGA-PBE
No peak broadening, texture or thermal motion is included.

Structure:
Unit cell a=6.906 b=6.906 c=7.612 alpha=101.95 beta=101.95 gamma=72.83
Element x y z (fractional)
Ba: 0.212 0.212 0.135
Ba: 0.788 0.788 0.865
Ga: 0.368 0.368 0.743
Ga: 0.632 0.632 0.257
Cl: 0.031 0.031 0.764
Cl: 0.969 0.969 0.236
F: 0.144 0.487 0.855
F: 0.305 0.305 0.502
F: 0.465 0.465 0.203
F: 0.487 0.144 0.855
F: 0.513 0.856 0.145
F: 0.535 0.535 0.797
F: 0.695 0.695 0.498
F: 0.856 0.513 0.145

Most intense lines, 2θ from 10° to 90°, low angle first:
- 2θ = 12.0°, intensity 53.1
- 2θ = 16.5°, intensity 35.0
- 2θ = 21.7°, intensity 100.0
- 2θ = 22.9°, intensity 45.7
- 2θ = 24.2°, intensity 20.2
- 2θ = 25.9°, intensity 35.4
- 2θ = 27.0°, intensity 61.4
- 2θ = 32.0°, intensity 20.2
- 2θ = 40.7°, intensity 19.1
- 2θ = 41.5°, intensity 29.6